1.
For Sr2InBiO6, the PBE geometry in the Materials Project gives the simulated PXRD pattern in this record (copper Kα).

Structural model:
```
Sr2InBiO6
1.0
8.4315 0.0000 0.0000
0.0000 8.4315 0.0000
0.0000 0.0000 8.4315
Sr In Bi O
8 4 4 24
Cartesian
2.1079 2.1079 2.1079
2.1079 2.1079 6.3236
2.1079 6.3236 2.1079
2.1079 6.3236 6.3236
6.3236 2.1079 2.1079
6.3236 2.1079 6.3236
6.3236 6.3236 2.1079
6.3236 6.3236 6.3236
0.0000 0.0000 0.0000
0.0000 4.2157 4.2157
4.2157 0.0000 4.2157
4.2157 4.2157 0.0000
0.0000 0.0000 4.2157
0.0000 4.2157 0.0000
4.2157 0.0000 0.0000
4.2157 4.2157 4.2157
0.2906 4.5743 6.3436
0.2906 8.0729 6.3036
0.3586 2.0879 4.5063
0.3586 2.1278 8.1409
2.0879 4.5063 0.3586
2.0879 8.1409 3.8571
2.1278 4.5063 3.8571
2.1278 8.1409 0.3586
3.8571 2.0879 8.1409
3.8571 2.1278 4.5063
3.9251 4.5743 6.3036
3.9251 8.0729 6.3436
4.5063 0.3586 2.0879
4.5063 3.8571 2.1278
4.5743 6.3036 3.9251
4.5743 6.3436 0.2906
6.3036 0.2906 8.0729
6.3036 3.9251 4.5743
6.3436 0.2906 4.5743
6.3436 3.9251 8.0729
8.0729 6.3036 0.2906
8.0729 6.3436 3.9251
8.1409 0.3586 2.1278
8.1409 3.8571 2.0879
```

Peak list (10 most intense, 15 to 90 degrees two-theta, sorted by position)
2θ (°)	intensity
18.22	7.8
21.07	16.2
29.98	100.0
42.91	27.9
48.27	7.5
53.22	45.0
62.29	16.6
70.66	18.2
78.61	5.4
86.35	23.3


2.
For KTlO2, the PBE geometry in the Materials Project gives the simulated PXRD pattern in this record (copper Kα).

Structural model:
```
KTlO2
1.0
3.5061 0.0000 0.0000
-1.7531 3.0364 0.0000
0.0000 0.0000 18.5452
K Tl O
3 3 6
Cartesian
0.0000 0.0000 0.0000
0.0000 2.0242 12.3634
1.7531 1.0121 6.1817
0.0000 0.0000 9.2726
0.0000 2.0242 3.0909
1.7531 1.0121 15.4543
0.0000 0.0000 4.3061
0.0000 0.0000 14.2390
0.0000 2.0242 8.0573
0.0000 2.0242 16.6696
1.7531 1.0121 1.8756
1.7531 1.0121 10.4878
```

Peak list (10 most intense, 15 to 90 degrees two-theta, sorted by position)
2θ (°)	intensity
28.89	35.2
29.82	50.5
30.99	82.9
35.34	100.0
38.31	22.4
45.43	22.8
49.47	35.1
52.18	32.3
54.40	24.0
60.74	27.2


3.
For Al2Si2O11, the PBE geometry in the Materials Project gives the simulated PXRD pattern in this record (copper Kα).

Structural model:
```
Al2Si2O11
1.0
2.6790 -4.6196 0.0000
2.6790 4.6196 0.0000
-1.7788 0.0000 10.0138
Al Si O
2 2 11
Cartesian
2.6790 3.0762 0.0000
2.6790 -3.0762 0.0000
3.1738 1.5508 5.5550
3.1738 -1.5508 5.5550
-0.1632 1.8262 9.1059
0.6099 0.0000 0.8705
1.8072 2.2781 6.1088
-0.1632 -1.8262 9.1059
3.7339 1.8040 0.8826
3.2404 1.6678 3.8936
1.8072 -2.2781 6.1088
3.1676 0.0000 6.0735
2.9990 0.0000 9.1266
3.2404 -1.6678 3.8936
3.7339 -1.8040 0.8826
```

Peak list (10 most intense, 15 to 90 degrees two-theta, sorted by position)
2θ (°)	intensity
17.71	100.0
19.21	38.4
19.38	35.5
20.05	28.5
22.54	10.0
26.25	10.7
26.71	8.7
35.68	11.8
39.72	18.8
52.34	15.1


4.
For NaSrHfNbO6, the PBE geometry in the Materials Project gives the simulated PXRD pattern in this record (copper Kα).

Structural model:
```
NaSrHfNbO6
1.0
0.0000 4.0809 4.0809
4.0809 0.0000 4.0809
4.0809 4.0809 0.0000
Na Sr Hf Nb O
1 1 1 1 6
Cartesian
0.0000 0.0000 0.0000
4.0809 4.0809 4.0809
2.0404 2.0404 2.0404
6.1213 6.1213 6.1213
6.1213 6.1213 4.1112
6.1213 4.1112 6.1213
8.1315 6.1213 6.1213
4.1112 6.1213 6.1213
6.1213 8.1315 6.1213
6.1213 6.1213 8.1315
```

Peak list (10 most intense, 15 to 90 degrees two-theta, sorted by position)
2θ (°)	intensity
18.83	17.7
21.78	37.5
30.99	100.0
36.51	11.2
44.40	34.2
49.97	15.3
55.13	40.1
64.60	20.7
73.37	17.3
89.96	21.4


5.
For Al14Cu3S24, the PBE geometry in the Materials Project gives the simulated PXRD pattern in this record (copper Kα).

Structural model:
```
Al14Cu3S24
1.0
6.0784 -3.5277 0.0000
6.0784 3.5277 0.0000
-0.0283 0.0000 17.3569
Al Cu S
14 3 24
Cartesian
0.0000 0.0000 0.0000
0.0141 0.0000 6.6252
2.1358 0.0000 3.0436
5.0450 1.6876 3.0427
7.0646 1.8221 14.5996
3.9873 0.0000 12.4385
4.0707 0.0000 5.8005
6.1832 0.0000 8.8439
9.0851 1.6857 8.8425
5.0450 -1.6876 3.0427
8.1065 0.0000 0.7948
8.1466 0.0000 11.6720
7.0646 -1.8221 14.5996
9.0851 -1.6857 8.8425
0.0078 0.0000 11.0146
4.0884 0.0000 16.7220
8.1258 0.0000 5.1883
0.0196 0.0000 4.3265
0.0394 0.0000 13.2386
3.1159 1.6655 4.4212
1.9136 0.0000 16.0076
5.1350 1.8516 15.9954
2.1774 0.0000 7.3966
5.0133 1.6466 7.3937
7.0493 1.8906 1.6363
4.0725 0.0000 1.6895
4.0695 0.0000 10.0765
7.1541 1.6585 10.2047
3.1159 -1.6655 4.4212
5.9866 0.0000 4.4187
9.0489 1.6620 13.1692
6.2115 0.0000 13.1797
5.0133 -1.6466 7.3937
8.0890 0.0000 15.9156
8.1202 0.0000 7.4725
5.1350 -1.8516 15.9954
7.1541 -1.6585 10.2047
10.0385 0.0000 10.1890
10.2876 0.0000 1.6281
7.0493 -1.8906 1.6363
9.0489 -1.6619 13.1692
```

Peak list (10 most intense, 15 to 90 degrees two-theta, sorted by position)
2θ (°)	intensity
25.21	46.9
25.35	29.8
29.64	62.1
29.74	62.0
31.06	43.1
36.02	100.0
47.40	37.0
51.68	64.2
51.82	63.6
52.05	62.7


6.
For NdIn2Cu9, the PBE geometry in the Materials Project gives the simulated PXRD pattern in this record (copper Kα).

Structural model:
```
NdIn2Cu9
1.0
8.5104 0.0000 0.0000
0.0000 8.5104 0.0000
0.0000 0.0000 5.0411
Nd In Cu
2 4 18
Cartesian
0.0000 0.0000 0.0000
4.2552 4.2552 0.0000
1.0447 3.2105 0.0000
3.2105 7.4656 0.0000
5.2999 1.0447 0.0000
7.4656 5.2999 0.0000
0.0000 4.2552 2.5205
0.5439 1.7583 2.5205
1.5045 5.7596 1.2442
1.5045 5.7596 3.7969
1.7583 7.9664 2.5205
2.4968 3.7112 2.5205
2.7507 1.5045 1.2442
2.7507 1.5045 3.7969
3.7112 6.0135 2.5205
4.2552 0.0000 2.5205
4.7991 2.4968 2.5205
5.7596 7.0059 1.2442
5.7596 7.0059 3.7969
6.0135 4.7991 2.5205
6.7520 0.5439 2.5205
7.0059 2.7507 1.2442
7.0059 2.7507 3.7969
7.9664 6.7520 2.5205
```

Peak list (10 most intense, 15 to 90 degrees two-theta, sorted by position)
2θ (°)	intensity
33.29	22.4
34.72	22.3
35.62	17.8
37.90	100.0
41.65	30.5
42.28	41.3
43.04	75.6
43.86	35.9
65.49	18.1
67.28	16.9


7.
For Pr2Co12P7, the PBE geometry in the Materials Project gives the simulated PXRD pattern in this record (copper Kα).

Structural model:
```
Pr2Co12P7
1.0
9.0909 0.0000 0.0000
-4.5454 7.8729 0.0000
0.0000 0.0000 3.6385
Pr Co P
2 12 7
Cartesian
0.0000 0.0000 0.0000
0.0000 5.2486 1.8193
-3.0449 6.0089 1.8193
-0.8867 3.0775 0.0000
0.8640 2.2315 1.8193
-1.4369 7.1020 0.0000
2.6420 1.6797 0.0000
4.4271 0.8338 1.8193
3.0540 3.6220 1.8193
2.3235 5.5663 0.0000
2.1809 7.5055 1.8193
6.3152 1.4482 0.0000
4.6791 4.7450 0.0000
6.1552 3.4171 1.8193
-2.2413 4.9405 0.0000
2.2733 0.3214 1.8193
1.3875 3.4616 0.0000
0.8538 7.3437 0.0000
4.5454 2.6243 0.0000
3.6872 5.7434 1.8193
7.6758 1.8080 1.8193
```

Peak list (10 most intense, 15 to 90 degrees two-theta, sorted by position)
2θ (°)	intensity
27.00	9.8
30.03	10.3
34.17	10.0
39.11	100.0
48.63	9.4
50.14	17.5
53.32	15.3
56.92	10.1
76.22	10.3
86.69	9.3


8.
For V2CrSe4, the PBE geometry in the Materials Project gives the simulated PXRD pattern in this record (copper Kα).

Structural model:
```
V2CrSe4
1.0
13.2420 0.0000 0.0000
0.0000 3.4202 0.0000
-2.7439 0.0000 5.6263
V Cr Se
4 2 8
Cartesian
2.7405 0.0000 1.0481
1.1366 1.7101 4.5782
9.3614 1.7101 1.0481
7.7576 0.0000 4.5782
-1.3720 1.7101 2.8131
5.2490 0.0000 2.8131
-1.1794 1.7101 5.3521
0.5486 0.0000 2.6936
3.3284 1.7101 2.9327
5.0565 0.0000 0.2741
5.4415 0.0000 5.3521
7.1696 1.7101 2.6936
9.9494 0.0000 2.9327
11.6775 1.7101 0.2741
```

Peak list (10 most intense, 15 to 90 degrees two-theta, sorted by position)
2θ (°)	intensity
31.81	44.0
32.86	52.6
33.19	100.0
33.70	50.1
41.07	34.6
42.38	47.8
43.21	49.4
51.32	51.9
53.59	29.5
69.65	18.4


9.
For LiB2SbO5, the PBE geometry in the Materials Project gives the simulated PXRD pattern in this record (copper Kα).

Structural model:
```
LiB2SbO5
1.0
5.1092 -5.4215 0.0000
5.1092 5.4215 0.0000
-4.7988 0.0000 8.9415
Li B Sb O
4 8 4 20
Cartesian
1.5102 4.0986 6.7061
3.9096 1.4779 2.2354
1.5102 -1.4779 6.7061
3.9096 -4.0986 2.2354
2.1794 3.4807 4.3751
5.6397 3.4807 0.0956
-0.1315 0.2812 5.4125
2.2679 -0.2812 0.9418
3.1518 0.2812 7.9997
5.5512 -0.2812 3.5290
-0.2200 -3.4807 8.8458
3.2403 -3.4807 4.5663
-1.4169 1.8846 7.7057
0.9825 -1.8846 3.2350
4.4372 1.8846 5.7065
6.8366 -1.8846 1.2357
-0.8496 0.9724 4.3935
2.5881 2.9839 3.1813
0.2952 3.0886 7.8188
-3.2490 -0.9724 8.8643
-0.4258 0.4509 6.7581
2.7251 3.0886 5.5934
3.2266 0.6143 0.6105
5.2310 2.9839 1.2894
1.9736 -0.4509 2.2873
0.8272 -0.6143 5.0812
4.5925 0.6143 3.8603
3.4461 0.4509 6.6541
0.1887 -2.9839 7.6520
2.1931 -0.6143 8.3310
2.6946 -3.0886 3.3481
5.8455 -0.4509 2.1834
8.6687 0.9724 0.0772
5.1245 -3.0886 1.1227
2.8316 -2.9839 5.7602
6.2693 -0.9724 4.5479
```

Peak list (10 most intense, 15 to 90 degrees two-theta, sorted by position)
2θ (°)	intensity
16.35	29.4
18.84	50.1
19.14	57.7
19.72	64.8
23.94	100.0
27.96	42.8
30.37	42.0
36.20	34.0
36.75	54.4
40.02	22.6


10.
For Cs2KNF6, the PBE geometry in the Materials Project gives the simulated PXRD pattern in this record (copper Kα).

Structural model:
```
Cs2KNF6
1.0
0.0000 4.4866 4.4866
4.4866 0.0000 4.4866
4.4866 4.4866 0.0000
Cs K N F
2 1 1 6
Cartesian
2.2433 2.2433 2.2433
6.7298 6.7298 6.7298
0.0000 0.0000 0.0000
4.4866 4.4866 4.4866
4.4866 4.4866 2.6331
4.4866 2.6331 4.4866
6.3400 4.4866 4.4866
2.6331 4.4866 4.4866
4.4866 6.3400 4.4866
4.4866 4.4866 6.3400
```

Peak list (10 most intense, 15 to 90 degrees two-theta, sorted by position)
2θ (°)	intensity
19.79	33.8
28.13	100.0
34.63	44.0
40.20	38.0
45.19	22.4
49.78	34.3
58.16	21.3
65.83	20.9
69.49	12.7
80.02	21.6